Record 1
The following is a theoretical PXRD pattern of Na8Al3Ga3Si6Cl2O24. It was derived from a crystal structure in the Materials Project, relaxed with PBE, using a wavelength of 1.5418 Å.
Kinematic intensities with the Lorentz-polarization factor, no thermal factor.

Structure:
Cell lengths 12.7514, 12.7514, 15.6128 Å; angles 90.00, 90.00, 120.00 degrees
Space group R3 (No. 146, hexagonal axes)
Unique sites:
Na1 0.0000 0.0000 0.0000 [3 per cell]
Na2 0.0000 0.0000 0.4994 [3 per cell]
Na3 0.0985 0.5499 0.9006 [9 per cell]
Na4 0.0991 0.5501 0.4013 [9 per cell]
Al1 0.0000 0.7504 0.4257 [9 per cell]
Ga1 0.9999 0.2503 0.9257 [9 per cell]
Si1 0.0002 0.2480 0.4254 [9 per cell]
Si2 0.9998 0.7478 0.9259 [9 per cell]
Cl1 0.0000 0.0000 0.1758 [3 per cell]
Cl2 0.0000 0.0000 0.6755 [3 per cell]
O1 0.9996 0.7108 0.8250 [9 per cell]
O2 0.0043 0.2834 0.3238 [9 per cell]
O3 0.0407 0.3729 0.4799 [9 per cell]
O4 0.0447 0.6705 0.9844 [9 per cell]
O5 0.0860 0.8956 0.9346 [9 per cell]
O6 0.0931 0.1948 0.4360 [9 per cell]
O7 0.1820 0.8011 0.6292 [9 per cell]
O8 0.1892 0.3883 0.1256 [9 per cell]

Most intense lines, 2θ from 10° to 90°, by angle:
h k l, 2theta, d_spacing, intensity
1 1 0, 13.89, 6.375, 47
1 2 2, 24.18, 3.681, 100
0 0 6, 34.46, 2.603, 26
2 -1 6, 37.32, 2.410, 31
5 -2 4, 42.54, 2.125, 22
4 4 0, 57.86, 1.594, 17

Record 2
The following is a theoretical PXRD pattern of In6TeO12. It was derived from a crystal structure in the Materials Project, relaxed with PBE, using a wavelength of 1.5418 Å.
Kinematic intensities with the Lorentz-polarization factor, no thermal factor.

Structure:
Cell lengths 9.6045, 9.6045, 9.1497 Å; angles 90.00, 90.00, 120.00 degrees
Space group R-3 (No. 148, hexagonal axes)
Unique sites:
In1 0.0365 0.2515 0.1446 [18 per cell]
Te1 0.0000 0.0000 0.5000 [3 per cell]
O1 0.0222 0.2210 0.8967 [18 per cell]
O2 0.0292 0.1852 0.3846 [18 per cell]

Most intense lines, 2θ from 10° to 90°, by angle:
h k l, 2theta, d_spacing, intensity
0 0 3, 29.28, 3.050, 31
2 1 1, 30.06, 2.973, 100
3 -2 2, 34.62, 2.591, 40
2 1 4, 49.26, 1.850, 27
1 4 0, 50.27, 1.815, 27
1 4 3, 59.24, 1.560, 22

Record 3
The following is a theoretical PXRD pattern of SrZrO3. It was derived from a crystal structure in the Materials Project, relaxed with PBE, using a wavelength of 1.5418 Å.
Kinematic intensities with the Lorentz-polarization factor, no thermal factor.

Structure:
Cell lengths 4.1976, 4.1976, 4.1976 Å; angles 90.00, 90.00, 90.00 degrees
Space group Pm-3m (No. 221)
Unique sites:
Sr1 0.0000 0.0000 0.0000 [1 per cell]
Zr1 0.5000 0.5000 0.5000 [1 per cell]
O1 0.0000 0.5000 0.5000 [3 per cell]

Most intense lines, 2θ from 10° to 90°, by angle:
h k l, 2theta, d_spacing, intensity
1 1 0, 30.11, 2.968, 100
2 0 0, 43.10, 2.099, 36
2 1 1, 53.47, 1.714, 40
2 2 0, 62.59, 1.484, 21
3 1 0, 71.01, 1.327, 17
3 2 1, 86.82, 1.122, 21

Record 4
The following is a theoretical PXRD pattern of Zr2N2O. It was derived from a crystal structure in the Materials Project, relaxed with PBE, using a wavelength of 1.5418 Å.
Kinematic intensities with the Lorentz-polarization factor, no thermal factor.

Structure:
Cell lengths 13.8409, 3.1238, 5.5756 Å; angles 90.00, 90.00, 90.00 degrees
Space group Pnma (No. 62)
Unique sites:
Zr1 0.0805 0.2500 0.1970 [4 per cell]
Zr2 0.1964 0.2500 0.7119 [4 per cell]
N1 0.1527 0.7500 0.4422 [4 per cell]
N2 0.1710 0.7500 0.9880 [4 per cell]
O1 0.0269 0.2500 0.8051 [4 per cell]

Most intense lines, 2θ from 10° to 90°, by angle:
h k l, 2theta, d_spacing, intensity
4 0 1, 30.40, 2.940, 100
2 1 0, 31.42, 2.847, 53
0 0 2, 32.11, 2.788, 38
2 1 1, 35.40, 2.536, 59
2 1 2, 45.54, 1.992, 49
6 1 1, 51.93, 1.761, 33

Record 5
The following is a theoretical PXRD pattern of Ca3SiH14CSO10. It was derived from a crystal structure in the Materials Project, relaxed with PBE, using a wavelength of 1.5418 Å.
Kinematic intensities with the Lorentz-polarization factor, no thermal factor.

Structure:
Cell lengths 9.1541, 9.1541, 10.0246 Å; angles 90.00, 90.00, 120.00 degrees
Space group P6_3 (No. 173)
Unique sites:
Ca1 0.0479 0.8044 0.0000 [6 per cell]
Si1 0.0000 0.0000 0.2077 [2 per cell]
H1 0.0923 0.4487 0.7037 [6 per cell]
H2 0.1371 0.3981 0.6976 [6 per cell]
H3 0.1732 0.6282 0.4664 [6 per cell]
H4 0.1817 0.6080 0.5436 [6 per cell]
H5 0.3333 0.6667 0.1287 [2 per cell]
H6 0.3333 0.6667 0.5288 [2 per cell]
C1 0.3333 0.6667 0.9403 [2 per cell]
S1 0.3333 0.6667 0.2625 [2 per cell]
O1 0.0000 0.0000 0.3734 [2 per cell]
O2 0.0263 0.8486 0.6413 [6 per cell]
O3 0.2016 0.7061 0.3039 [6 per cell]
O4 0.2106 0.6993 0.9430 [6 per cell]

Most intense lines, 2θ from 10° to 90°, by angle:
h k l, 2theta, d_spacing, intensity
1 0 0, 11.16, 7.928, 100
1 0 1, 14.24, 6.218, 57
1 1 0, 19.39, 4.577, 73
1 0 2, 20.97, 4.237, 41
1 0 3, 29.00, 3.079, 42
1 2 1, 31.15, 2.871, 35

Record 6
The following is a theoretical PXRD pattern of MgO2. It was derived from a crystal structure in the Materials Project, relaxed with PBE, using a wavelength of 1.5418 Å.
Kinematic intensities with the Lorentz-polarization factor, no thermal factor.

Structure:
Cell lengths 4.8982, 4.8982, 4.8982 Å; angles 90.00, 90.00, 90.00 degrees
Space group Pa-3 (No. 205)
Unique sites:
Mg1 0.0000 0.0000 0.0000 [4 per cell]
O1 0.0888 0.5888 0.9112 [8 per cell]

Most intense lines, 2θ from 10° to 90°, by angle:
h k l, 2theta, d_spacing, intensity
2 0 0, 36.70, 2.449, 100
2 1 0, 41.21, 2.191, 20
2 1 1, 45.35, 2.000, 20
2 2 0, 52.87, 1.732, 41
3 1 1, 62.93, 1.477, 36
3 3 1, 86.64, 1.124, 12